For Pm2Y2Se2S3, the GGA-PBE geometry in Alexandria gives the computed X-ray diffraction stick pattern in this record (Cu Kα X-rays).

Structure:
Cell: 8.4091 8.4091 8.4091 Å, 142.59 142.59 53.94°
Fractional coordinates of all 9 atoms:
Pm1 0.2011 0.2011 0.0000
Pm2 0.7989 0.7989 0.0000
Y1 0.0000 0.5000 0.5000
Y2 0.5000 0.0000 0.5000
Se1 0.3980 0.3980 0.0000
Se2 0.6020 0.6020 0.0000
S1 0.0000 0.0000 0.0000
S2 0.2500 0.7500 0.5000
S3 0.7500 0.2500 0.5000

The 6 most intense peaks (2θ = 10–90°), low angle first:
| 2theta | intensity |
| --- | --- |
| 23.32 | 25.3 |
| 26.22 | 51.1 |
| 33.22 | 100.0 |
| 34.22 | 80.7 |
| 47.69 | 35.3 |
| 48.44 | 59.8 |


For CeHo3Er2, the GGA-PBE geometry in Alexandria gives the computed X-ray diffraction stick pattern in this record (Cu Kα X-rays).

Structure:
Cell: 7.8699 7.8699 4.9710 Å, 90.00 90.00 143.09°
Fractional coordinates of all 6 atoms:
Ce1 0.0000 0.0000 0.0000
Ho1 0.1648 0.8352 0.5000
Ho2 0.5000 0.5000 0.5000
Ho3 0.8352 0.1648 0.5000
Er1 0.3328 0.6672 0.0000
Er2 0.6672 0.3328 0.0000

The 6 most intense peaks (2θ = 10–90°), low angle first:
| 2theta | intensity |
| --- | --- |
| 31.13 | 100.0 |
| 36.10 | 50.6 |
| 51.97 | 35.9 |
| 61.80 | 28.4 |
| 61.89 | 14.2 |
| 64.91 | 12.2 |


For InHgPt2, the GGA-PBE geometry in Alexandria gives the computed X-ray diffraction stick pattern in this record (Cu Kα X-rays).

Structure:
Cell: 5.4624 5.4624 4.8606 Å, 104.16 104.16 31.85°
Fractional coordinates of all 4 atoms:
In1 0.0000 0.0000 0.0000
Hg1 0.7903 0.7903 0.3921
Pt1 0.2550 0.2550 0.8780
Pt2 0.5402 0.5402 0.5153

The 6 most intense peaks (2θ = 10–90°), low angle first:
| 2theta | intensity |
| --- | --- |
| 35.36 | 62.9 |
| 37.85 | 100.0 |
| 38.30 | 22.8 |
| 41.56 | 54.9 |
| 45.42 | 13.0 |
| 66.80 | 15.7 |


For Ac6Te5Au, the GGA-PBE geometry in Alexandria gives the computed X-ray diffraction stick pattern in this record (Cu Kα X-rays).

Structure:
Cell: 8.1964 8.1964 8.1702 Å, 99.68 99.68 119.72°
Fractional coordinates of all 12 atoms:
Ac1 0.0782 0.3946 0.7371
Ac2 0.2343 0.2343 0.2549
Ac3 0.3946 0.0782 0.7371
Ac4 0.6054 0.9218 0.2629
Ac5 0.7657 0.7657 0.7451
Ac6 0.9218 0.6054 0.2629
Te1 0.1770 0.8230 0.0000
Te2 0.3355 0.6645 0.5000
Te3 0.5000 0.5000 0.0000
Te4 0.6645 0.3355 0.5000
Te5 0.8230 0.1770 0.0000
Au1 0.0000 0.0000 0.5000

The 6 most intense peaks (2θ = 10–90°), low angle first:
| 2theta | intensity |
| --- | --- |
| 26.65 | 100.0 |
| 37.92 | 25.9 |
| 38.11 | 51.4 |
| 47.07 | 13.8 |
| 54.94 | 8.5 |
| 62.10 | 17.6 |


For Pr6Ge3H, the GGA-PBE geometry in Alexandria gives the computed X-ray diffraction stick pattern in this record (Cu Kα X-rays).

Structure:
Cell: 6.4700 8.2493 12.0170 Å, 90.00 121.60 90.00°
Fractional coordinates of all 20 atoms:
Pr1 0.0691 0.1845 0.4398
Pr2 0.0691 0.3155 0.9398
Pr3 0.2953 0.6683 0.4415
Pr4 0.2953 0.8317 0.9415
Pr5 0.3701 0.0396 0.2327
Pr6 0.3701 0.4604 0.7327
Pr7 0.6299 0.5396 0.2673
Pr8 0.6299 0.9604 0.7673
Pr9 0.7047 0.1683 0.0585
Pr10 0.7047 0.3317 0.5585
Pr11 0.9309 0.6845 0.0602
Pr12 0.9309 0.8155 0.5602
Ge1 0.1697 0.1190 0.7470
Ge2 0.1697 0.3810 0.2470
Ge3 0.5000 0.0000 0.5000
Ge4 0.5000 0.5000 0.0000
Ge5 0.8303 0.6190 0.7530
Ge6 0.8303 0.8810 0.2530
H1 0.0000 0.0000 0.0000
H2 0.0000 0.5000 0.5000

The 6 most intense peaks (2θ = 10–90°), low angle first:
| 2theta | intensity |
| --- | --- |
| 27.78 | 76.0 |
| 29.67 | 81.9 |
| 29.81 | 75.1 |
| 30.82 | 100.0 |
| 31.37 | 62.4 |
| 35.47 | 92.9 |


For Li2DyCo9, the GGA-PBE geometry in Alexandria gives the computed X-ray diffraction stick pattern in this record (Cu Kα X-rays).

Structure:
Cell: 8.0149 8.0149 4.7813 Å, 90.00 90.00 90.00°
Fractional coordinates of all 24 atoms:
Li1 0.1150 0.3850 0.0000
Li2 0.3850 0.8850 0.0000
Li3 0.6150 0.1150 0.0000
Li4 0.8850 0.6150 0.0000
Dy1 0.0000 0.0000 0.0000
Dy2 0.5000 0.5000 0.0000
Co1 0.0000 0.5000 0.5000
Co2 0.0679 0.2111 0.5000
Co3 0.1796 0.6796 0.2371
Co4 0.1796 0.6796 0.7629
Co5 0.2111 0.9321 0.5000
Co6 0.2889 0.4321 0.5000
Co7 0.3204 0.1796 0.2371
Co8 0.3204 0.1796 0.7629
Co9 0.4321 0.7111 0.5000
Co10 0.5000 0.0000 0.5000
Co11 0.5679 0.2889 0.5000
Co12 0.6796 0.8204 0.2371
Co13 0.6796 0.8204 0.7629
Co14 0.7111 0.5679 0.5000
Co15 0.7889 0.0679 0.5000
Co16 0.8204 0.3204 0.2371
Co17 0.8204 0.3204 0.7629
Co18 0.9321 0.7889 0.5000

The 6 most intense peaks (2θ = 10–90°), low angle first:
| 2theta | intensity |
| --- | --- |
| 24.36 | 51.3 |
| 36.87 | 44.2 |
| 40.27 | 100.0 |
| 44.11 | 51.7 |
| 45.61 | 44.8 |
| 46.73 | 51.0 |


For RbPmHg2Br8, the GGA-PBE geometry in Alexandria gives the computed X-ray diffraction stick pattern in this record (Cu Kα X-rays).

Structure:
Cell: 6.9224 8.1408 10.0929 Å, 112.87 93.10 95.73°
Fractional coordinates of all 12 atoms:
Rb1 0.0000 0.0000 0.0000
Pm1 0.0000 0.0000 0.5000
Hg1 0.4375 0.2590 0.7988
Hg2 0.5625 0.7410 0.2012
Br1 0.1664 0.7982 0.2365
Br2 0.2339 0.8752 0.6738
Br3 0.3055 0.3098 0.5738
Br4 0.4332 0.2967 0.0614
Br5 0.5668 0.7033 0.9386
Br6 0.6945 0.6902 0.4262
Br7 0.7661 0.1248 0.3262
Br8 0.8336 0.2018 0.7635

The 6 most intense peaks (2θ = 10–90°), low angle first:
| 2theta | intensity |
| --- | --- |
| 11.94 | 100.0 |
| 15.29 | 32.3 |
| 16.40 | 29.2 |
| 26.81 | 24.7 |
| 28.79 | 43.3 |
| 34.76 | 24.6 |


For Pr12Y2Tm, the GGA-PBE geometry in Alexandria gives the computed X-ray diffraction stick pattern in this record (Cu Kα X-rays).

Structure:
Cell: 6.6350 6.6350 25.6851 Å, 90.00 90.00 90.00°
Fractional coordinates of all 30 atoms:
Pr1 0.0666 0.5666 0.1123
Pr2 0.0666 0.9334 0.8877
Pr3 0.0817 0.5817 0.4373
Pr4 0.0817 0.9183 0.5627
Pr5 0.2500 0.2500 0.2135
Pr6 0.2500 0.2500 0.3364
Pr7 0.2500 0.2500 0.6636
Pr8 0.2500 0.2500 0.7865
Pr9 0.4183 0.5817 0.5627
Pr10 0.4183 0.9183 0.4373
Pr11 0.4334 0.5666 0.8877
Pr12 0.4334 0.9334 0.1123
Pr13 0.5666 0.0666 0.8877
Pr14 0.5666 0.4334 0.1123
Pr15 0.5817 0.0817 0.5627
Pr16 0.5817 0.4183 0.4373
Pr17 0.7500 0.7500 0.2135
Pr18 0.7500 0.7500 0.3364
Pr19 0.7500 0.7500 0.6636
Pr20 0.7500 0.7500 0.7865
Pr21 0.9183 0.0817 0.4373
Pr22 0.9183 0.4183 0.5627
Pr23 0.9334 0.0666 0.1123
Pr24 0.9334 0.4334 0.8877
Y1 0.2500 0.7500 0.2710
Y2 0.2500 0.7500 0.7290
Y3 0.7500 0.2500 0.2710
Y4 0.7500 0.2500 0.7290
Tm1 0.2500 0.7500 0.0000
Tm2 0.7500 0.2500 0.0000

The 6 most intense peaks (2θ = 10–90°), low angle first:
| 2theta | intensity |
| --- | --- |
| 20.15 | 71.9 |
| 27.77 | 60.9 |
| 30.32 | 91.3 |
| 30.94 | 89.6 |
| 31.34 | 66.0 |
| 31.92 | 100.0 |


For AuS6Cl3, the GGA-PBE geometry in Alexandria gives the computed X-ray diffraction stick pattern in this record (Cu Kα X-rays).

Structure:
Cell: 3.7823 9.1398 9.8722 Å, 83.86 81.16 78.98°
Fractional coordinates of all 10 atoms:
Au1 0.0000 0.0000 0.0000
S1 0.1491 0.0318 0.3888
S2 0.2496 0.3403 0.5602
S3 0.3809 0.4334 0.9636
S4 0.5791 0.1894 0.6604
S5 0.7373 0.5610 0.9557
S6 0.7766 0.9875 0.5356
Cl1 0.1533 0.8605 0.8159
Cl2 0.5278 0.4944 0.4336
Cl3 0.8327 0.1491 0.1788

The 6 most intense peaks (2θ = 10–90°), low angle first:
| 2theta | intensity |
| --- | --- |
| 13.98 | 60.5 |
| 18.25 | 100.0 |
| 19.86 | 87.1 |
| 24.48 | 58.7 |
| 28.54 | 73.1 |
| 32.03 | 66.9 |


For Ba3Mn2As4, the GGA-PBE geometry in Alexandria gives the computed X-ray diffraction stick pattern in this record (Cu Kα X-rays).

Structure:
Cell: 4.4866 7.4813 8.8705 Å, 112.94 104.64 90.00°
Fractional coordinates of all 9 atoms:
Ba1 0.0000 0.0000 0.0000
Ba2 0.1387 0.5727 0.2775
Ba3 0.8613 0.4273 0.7225
Mn1 0.3292 0.0342 0.6577
Mn2 0.6708 0.9658 0.3423
As1 0.2081 0.1541 0.4165
As2 0.4772 0.3009 0.9544
As3 0.5228 0.6991 0.0456
As4 0.7919 0.8459 0.5835

The 6 most intense peaks (2θ = 10–90°), low angle first:
| 2theta | intensity |
| --- | --- |
| 25.99 | 58.8 |
| 30.46 | 27.5 |
| 31.51 | 100.0 |
| 32.27 | 64.7 |
| 32.89 | 54.4 |
| 40.20 | 43.9 |


For Ac8Ni3HI4, the GGA-PBE geometry in Alexandria gives the computed X-ray diffraction stick pattern in this record (Cu Kα X-rays).

Structure:
Cell: 8.6207 8.6207 9.8985 Å, 115.73 115.73 60.26°
Fractional coordinates of all 16 atoms:
Ac1 0.2264 0.7292 0.6861
Ac2 0.2266 0.2266 0.6812
Ac3 0.2712 0.2712 0.3143
Ac4 0.2708 0.7736 0.3139
Ac5 0.7292 0.2264 0.6861
Ac6 0.7288 0.7288 0.6857
Ac7 0.7734 0.7734 0.3188
Ac8 0.7736 0.2708 0.3139
Ni1 0.0000 0.0000 0.5000
Ni2 0.0000 0.5000 0.5000
Ni3 0.5000 0.0000 0.5000
H1 0.5000 0.5000 0.5000
I1 0.0000 0.0000 0.0000
I2 0.0000 0.5000 0.0000
I3 0.5000 0.0000 0.0000
I4 0.5000 0.5000 0.0000

The 6 most intense peaks (2θ = 10–90°), low angle first:
| 2theta | intensity |
| --- | --- |
| 24.81 | 25.8 |
| 27.61 | 100.0 |
| 29.56 | 34.6 |
| 31.35 | 19.0 |
| 36.91 | 21.9 |
| 41.92 | 27.4 |


For Y3Ho2Bi2, the GGA-PBE geometry in Alexandria gives the computed X-ray diffraction stick pattern in this record (Cu Kα X-rays).

Structure:
Cell: 6.4959 6.4959 8.5812 Å, 106.87 106.87 38.76°
Fractional coordinates of all 7 atoms:
Y1 0.0000 0.0000 0.0000
Y2 0.1252 0.1252 0.4452
Y3 0.8748 0.8748 0.5548
Ho1 0.3758 0.3758 0.2294
Ho2 0.6242 0.6242 0.7706
Bi1 0.3229 0.3229 0.8117
Bi2 0.6771 0.6771 0.1883

The 6 most intense peaks (2θ = 10–90°), low angle first:
| 2theta | intensity |
| --- | --- |
| 30.39 | 100.0 |
| 30.98 | 57.2 |
| 31.72 | 32.5 |
| 32.79 | 96.0 |
| 33.68 | 30.4 |
| 41.91 | 40.7 |